Simulated powder diffraction line list
Compound: NbIn3Pd12
Radiation: Cu Ka
Structure: a DFT-relaxed cell (PBE, Alexandria)
Lines closer than 0.1° are merged.

Principal peaks in the range 2θ from 5° to 70°, in order of rising 2θ:
- (1 1 4), 38.78°, intensity 100
- (0 0 8), 44.83°, intensity 16
- (2 0 0), 45.21°, intensity 32
- (2 0 8), 65.56°, intensity 20
- (2 2 0), 65.85°, intensity 10

Cell and atoms:
Cell: 4.011 4.011 16.173 Å, 90.00 90.00 90.00°
Space group P4/mmm (No. 123)
One atom of each set of equivalent atoms:
Nb 0.000 0.000 0.000 x1
In 0.000 0.000 0.250 x2
In 0.000 0.000 0.500 x1
Pd 0.000 0.500 0.118 x4
Pd 0.000 0.500 0.374 x4
Pd 0.500 0.500 0.000 x1
Pd 0.500 0.500 0.245 x2
Pd 0.500 0.500 0.500 x1

---

Simulated powder diffraction line list
Compound: Ba3La2Cl12
Radiation: Cu Ka
Structure: a DFT-relaxed cell (PBE, Alexandria)
Lines closer than 0.1° are merged.

Principal peaks in the range 2θ from 5° to 70°, in order of rising 2θ:
- (1 1 -1), 10.93°, intensity 16
- (0 2 1), 13.45°, intensity 11
- (2 2 -1), 21.17°, intensity 56
- (0 2 3), 21.36°, intensity 56
- (4 0 -2), 34.98°, intensity 100
- (0 0 6), 35.48°, intensity 19
- (4 2 1), 41.37°, intensity 20
- (2 2 -7), 41.68°, intensity 19
- (4 0 4), 50.70°, intensity 13
- (6 4 0), 62.75°, intensity 18

Cell and atoms:
Cell: 10.254 14.618 16.021 Å, 90.00 108.65 90.00°
Space group C2/c (No. 15)
One atom of each set of equivalent atoms:
Ba 0.000 0.125 0.250 x4
Ba 0.166 0.375 0.082 x8
La 0.170 0.125 0.589 x8
Cl 0.070 0.231 0.925 x8
Cl 0.075 0.005 0.425 x8
Cl 0.100 0.246 0.424 x8
Cl 0.104 0.482 0.424 x8
Cl 0.233 0.010 0.741 x8
Cl 0.243 0.259 0.259 x8